Record 1
Structure and theoretical powder XRD pattern of Dy3GaFeS7 (a structure optimized by DFT (GGA-PBE); Cu Kα, 1.54184 Å).
Neutral-atom scattering factors, no anomalous dispersion.

Most intense lines, 10 to 80 degrees two-theta, in order of rising 2θ:
- d = 4.931 Å, 18.0°, intensity 22
- d = 3.421 Å, 26.1°, intensity 100
- d = 3.109 Å, 28.7°, intensity 18
- d = 2.505 Å, 35.8°, intensity 26
- d = 2.465 Å, 36.4°, intensity 31
- d = 2.375 Å, 37.9°, intensity 34
- d = 2.188 Å, 41.3°, intensity 20
- d = 1.837 Å, 49.6°, intensity 23

Structure:
Cell lengths 9.498, 9.498, 6.160 Å; angles 90.00, 90.00, 120.00 degrees
Fractional positions:
Dy (0.155, 0.782, 0.000)
Dy (0.218, 0.373, 0.000)
Dy (0.373, 0.155, 0.500)
Dy (0.627, 0.845, 0.000)
Dy (0.782, 0.627, 0.500)
Dy (0.845, 0.218, 0.500)
Ga (0.333, 0.667, 0.432)
Ga (0.667, 0.333, 0.932)
Fe (0.000, 0.000, 0.335)
Fe (0.000, 0.000, 0.835)
S (0.086, 0.520, 0.274)
S (0.093, 0.875, 0.592)
S (0.125, 0.218, 0.592)
S (0.218, 0.093, 0.092)
S (0.333, 0.667, 0.796)
S (0.434, 0.914, 0.274)
S (0.480, 0.566, 0.274)
S (0.520, 0.434, 0.774)
S (0.566, 0.086, 0.774)
S (0.667, 0.333, 0.296)
S (0.782, 0.907, 0.592)
S (0.875, 0.782, 0.092)
S (0.907, 0.125, 0.092)
S (0.914, 0.480, 0.774)



Record 2
Structure and theoretical powder XRD pattern of DyB2C2 (a structure optimized by DFT (GGA-PBE); Cu Kα, 1.54184 Å).
Neutral-atom scattering factors, no anomalous dispersion.

Most intense lines, 10 to 80 degrees two-theta, in order of rising 2θ:
- d = 3.784 Å, 23.5°, intensity 94
- d = 3.571 Å, 24.9°, intensity 26
- d = 2.676 Å, 33.5°, intensity 40
- d = 2.597 Å, 34.5°, intensity 100
- d = 2.141 Å, 42.2°, intensity 56
- d = 1.692 Å, 54.2°, intensity 29
- d = 1.672 Å, 54.9°, intensity 22
- d = 1.529 Å, 60.5°, intensity 28

Structure:
Cell lengths 5.352, 5.352, 3.571 Å; angles 90.00, 90.00, 90.00 degrees
Fractional positions:
Dy (0.000, 0.000, 0.000)
Dy (0.500, 0.500, 0.000)
B (0.137, 0.363, 0.500)
B (0.363, 0.863, 0.500)
B (0.637, 0.137, 0.500)
B (0.863, 0.637, 0.500)
C (0.162, 0.662, 0.500)
C (0.338, 0.162, 0.500)
C (0.662, 0.838, 0.500)
C (0.838, 0.338, 0.500)



Record 3
Structure and theoretical powder XRD pattern of SrInO3 (a structure optimized by DFT (GGA-PBE); Cu Kα, 1.54184 Å).
Neutral-atom scattering factors, no anomalous dispersion.

Most intense lines, 10 to 80 degrees two-theta, in order of rising 2θ:
- d = 4.214 Å, 21.1°, intensity 7
- d = 2.980 Å, 30.0°, intensity 100
- d = 2.107 Å, 42.9°, intensity 33
- d = 1.885 Å, 48.3°, intensity 3
- d = 1.721 Å, 53.2°, intensity 40
- d = 1.490 Å, 62.3°, intensity 20
- d = 1.333 Å, 70.7°, intensity 17
- d = 1.217 Å, 78.6°, intensity 7

Structure:
Cell lengths 4.214, 4.214, 4.214 Å; angles 90.00, 90.00, 90.00 degrees
Fractional positions:
Sr (0.000, 0.000, 0.000)
In (0.500, 0.500, 0.500)
O (0.000, 0.500, 0.500)
O (0.500, 0.000, 0.500)
O (0.500, 0.500, 0.000)



Record 4
Structure and theoretical powder XRD pattern of NiCl2 (a structure optimized by DFT (GGA-PBE); Cu Kα, 1.54184 Å).
Neutral-atom scattering factors, no anomalous dispersion.

Most intense lines, 10 to 80 degrees two-theta, in order of rising 2θ:
- d = 6.426 Å, 13.8°, intensity 100
- d = 2.965 Å, 30.1°, intensity 19
- d = 2.547 Å, 35.2°, intensity 62
- d = 2.029 Å, 44.7°, intensity 23
- d = 1.879 Å, 48.5°, intensity 17
- d = 1.732 Å, 52.8°, intensity 19
- d = 1.673 Å, 54.9°, intensity 14
- d = 1.513 Å, 61.3°, intensity 11

Structure:
Cell lengths 6.730, 6.730, 6.730 Å; angles 29.84, 29.84, 29.84 degrees
Fractional positions:
Ni (0.000, 0.000, 0.000)
Cl (0.267, 0.267, 0.267)
Cl (0.733, 0.733, 0.733)



Record 5
Structure and theoretical powder XRD pattern of Be4FeGe (a structure optimized by DFT (GGA-PBE); Cu Kα, 1.54184 Å).
Neutral-atom scattering factors, no anomalous dispersion.

Most intense lines, 10 to 80 degrees two-theta, in order of rising 2θ:
- d = 3.450 Å, 25.8°, intensity 100
- d = 2.988 Å, 29.9°, intensity 2
- d = 2.113 Å, 42.8°, intensity 100
- d = 1.802 Å, 50.7°, intensity 76
- d = 1.725 Å, 53.1°, intensity 2
- d = 1.494 Å, 62.1°, intensity 11
- d = 1.371 Å, 68.4°, intensity 18
- d = 1.220 Å, 78.4°, intensity 31

Structure:
Cell lengths 4.225, 4.225, 4.225 Å; angles 60.00, 60.00, 60.00 degrees
Fractional positions:
Be (0.376, 0.376, 0.376)
Be (0.376, 0.376, 0.872)
Be (0.376, 0.872, 0.376)
Be (0.872, 0.376, 0.376)
Fe (0.750, 0.750, 0.750)
Ge (0.000, 0.000, 0.000)



Record 6
Structure and theoretical powder XRD pattern of PmMn3 (a structure optimized by DFT (GGA-PBE); Cu Kα, 1.54184 Å).
Neutral-atom scattering factors, no anomalous dispersion.

Most intense lines, 10 to 80 degrees two-theta, in order of rising 2θ:
- d = 3.474 Å, 25.6°, intensity 38
- d = 3.028 Å, 29.5°, intensity 16
- d = 2.622 Å, 34.2°, intensity 25
- d = 2.319 Å, 38.8°, intensity 25
- d = 2.283 Å, 39.5°, intensity 100
- d = 1.514 Å, 61.2°, intensity 15
- d = 1.332 Å, 70.7°, intensity 16
- d = 1.268 Å, 74.9°, intensity 16

Structure:
Cell lengths 6.055, 6.055, 4.639 Å; angles 90.00, 90.00, 120.00 degrees
Fractional positions:
Pm (0.333, 0.667, 0.250)
Pm (0.667, 0.333, 0.750)
Mn (0.146, 0.291, 0.750)
Mn (0.146, 0.854, 0.750)
Mn (0.291, 0.146, 0.250)
Mn (0.709, 0.854, 0.750)
Mn (0.854, 0.146, 0.250)
Mn (0.854, 0.709, 0.250)



Record 7
Structure and theoretical powder XRD pattern of UBiTe (a structure optimized by DFT (GGA-PBE); Cu Kα, 1.54184 Å).
Neutral-atom scattering factors, no anomalous dispersion.

Most intense lines, 10 to 80 degrees two-theta, in order of rising 2θ:
- d = 3.983 Å, 22.3°, intensity 26
- d = 3.048 Å, 29.3°, intensity 42
- d = 2.960 Å, 30.2°, intensity 89
- d = 2.582 Å, 34.7°, intensity 100
- d = 2.510 Å, 35.8°, intensity 32
- d = 2.212 Å, 40.8°, intensity 55
- d = 1.790 Å, 51.0°, intensity 37
- d = 1.338 Å, 70.4°, intensity 27

Structure:
Cell lengths 4.424, 4.424, 9.144 Å; angles 90.00, 90.00, 90.00 degrees
Fractional positions:
U (0.250, 0.250, 0.216)
U (0.750, 0.750, 0.784)
Bi (0.250, 0.750, 0.500)
Bi (0.750, 0.250, 0.500)
Te (0.250, 0.250, 0.865)
Te (0.750, 0.750, 0.135)



Record 8
Structure and theoretical powder XRD pattern of Mg14BiB (a structure optimized by DFT (GGA-PBE); Cu Kα, 1.54184 Å).
Neutral-atom scattering factors, no anomalous dispersion.

Most intense lines, 10 to 80 degrees two-theta, in order of rising 2θ:
- d = 5.475 Å, 16.2°, intensity 40
- d = 4.821 Å, 18.4°, intensity 83
- d = 3.726 Å, 23.9°, intensity 32
- d = 3.019 Å, 29.6°, intensity 30
- d = 2.882 Å, 31.0°, intensity 28
- d = 2.738 Å, 32.7°, intensity 29
- d = 2.543 Å, 35.3°, intensity 24
- d = 2.411 Å, 37.3°, intensity 100

Structure:
Cell lengths 6.322, 6.322, 10.170 Å; angles 90.00, 90.00, 120.00 degrees
Fractional positions:
Mg (0.000, 0.000, 0.248)
Mg (0.000, 0.000, 0.752)
Mg (0.003, 0.501, 0.267)
Mg (0.003, 0.501, 0.733)
Mg (0.327, 0.163, 0.500)
Mg (0.336, 0.168, 0.000)
Mg (0.499, 0.501, 0.267)
Mg (0.499, 0.501, 0.733)
Mg (0.499, 0.997, 0.267)
Mg (0.499, 0.997, 0.733)
Mg (0.832, 0.168, 0.000)
Mg (0.832, 0.664, 0.000)
Mg (0.837, 0.163, 0.500)
Mg (0.837, 0.673, 0.500)
Bi (0.333, 0.667, 0.000)
B (0.333, 0.667, 0.500)